Diffraction record for VAuS2. The powder diffraction line list is calculated, not measured: it uses a DFT-relaxed cell (PBE, the Materials Project) and Cu Kα (λ = 1.5418 Å).

Unit cell a=3.2255 b=3.2255 c=15.1886 alpha=90.00 beta=90.00 gamma=120.00
Space group P6_3/mmc (No. 194)
Symmetry-distinct sites (fractional):
V 0.3333 0.6667 0.2500 [2 per cell]
Au 0.0000 0.0000 0.0000 [2 per cell]
S 0.0000 0.0000 0.1558 [4 per cell]

The 10 most intense peaks (10 to 80 degrees two-theta), in order of rising 2θ:
2theta  I/Imax
11.65  65
23.43  43
32.04  87
34.20  100
40.07  27
48.53  75
57.11  28
58.81  17
62.58  18
78.16  18

Diffraction record for LaSe3O12. The powder diffraction line list is calculated, not measured: it uses a DFT-relaxed cell (PBE, the Materials Project) and Cu Kα (λ = 1.5418 Å).

Unit cell a=9.8516 b=9.8516 c=6.3436 alpha=90.00 beta=90.00 gamma=120.00
Space group P6_3/m (No. 176)
Symmetry-distinct sites (fractional):
La 0.3333 0.6667 0.2500 [2 per cell]
Se 0.0919 0.3901 0.7500 [6 per cell]
O 0.0107 0.1952 0.7500 [6 per cell]
O 0.0376 0.5481 0.2500 [6 per cell]
O 0.2077 0.4571 0.5367 [12 per cell]

The 10 most intense peaks (10 to 80 degrees two-theta), in order of rising 2θ:
2theta  I/Imax
10.37  66
22.86  88
25.16  100
27.66  34
28.13  34
31.11  42
39.87  22
42.70  24
48.00  21
48.68  37

What is the formula in the first record? VAuS2

Repeat the second record exactly.
Diffraction record for LaSe3O12. The powder diffraction line list is calculated, not measured: it uses a DFT-relaxed cell (PBE, the Materials Project) and Cu Kα (λ = 1.5418 Å).

Unit cell a=9.8516 b=9.8516 c=6.3436 alpha=90.00 beta=90.00 gamma=120.00
Space group P6_3/m (No. 176)
Symmetry-distinct sites (fractional):
La 0.3333 0.6667 0.2500 [2 per cell]
Se 0.0919 0.3901 0.7500 [6 per cell]
O 0.0107 0.1952 0.7500 [6 per cell]
O 0.0376 0.5481 0.2500 [6 per cell]
O 0.2077 0.4571 0.5367 [12 per cell]

The 10 most intense peaks (10 to 80 degrees two-theta), in order of rising 2θ:
2theta  I/Imax
10.37  66
22.86  88
25.16  100
27.66  34
28.13  34
31.11  42
39.87  22
42.70  24
48.00  21
48.68  37